Structure and computed X-ray powder pattern of ZnH8C2S2N6 (DFT lattice parameters and positions (GGA-PBE); Cu Ka).
Neutral-atom scattering factors, no anomalous dispersion.

Cell and atoms:
Lattice parameters (Å, degrees): 4.113 14.620 6.974 90.00 107.96 90.00
Space group P2_1/c (No. 14)
Unique sites:
Zn 0.000 0.000 0.000 x2
H 0.172 0.161 0.873 x4
H 0.381 0.028 0.723 x4
H 0.419 0.628 0.759 x4
H 0.481 0.130 0.077 x4
C 0.044 0.628 0.124 x4
S 0.115 0.709 0.984 x4
N 0.003 0.068 0.272 x4
N 0.321 0.106 0.943 x4
N 0.471 0.575 0.676 x4

Top 8 peaks for 2θ = 10–80°, by angle:
7.310 Å, I = 29.2, hkl 0 2 0
6.042 Å, I = 71.7, hkl 0 1 1
3.922 Å, I = 100.0, hkl 1 0 0
3.317 Å, I = 18.4, hkl 0 0 2
3.066 Å, I = 38.3, hkl 1 3 -1
2.768 Å, I = 21.3, hkl 1 2 1
2.671 Å, I = 14.9, hkl 1 4 0
2.549 Å, I = 19.8, hkl 1 3 1



Structure and computed X-ray powder pattern of Pr3Dy2Co2B6 (DFT lattice parameters and positions (GGA-PBE); Cu Ka).
Neutral-atom scattering factors, no anomalous dispersion.

Cell and atoms:
Lattice parameters (Å, degrees): 5.4425 5.4425 24.3221 90.00 90.00 120.00
Space group R-3m (No. 166, hexagonal axes)
Unique sites:
Pr 0.0000 0.0000 0.0000 x3
Pr 0.0000 0.0000 0.4138 x6
Dy 0.0000 0.0000 0.2469 x6
Co 0.0000 0.0000 0.1218 x6
B 0.0000 0.3323 0.5000 x18

Top 8 peaks for 2θ = 10–80°, by angle:
4.054 Å, I = 22.3, hkl 0 0 6
3.385 Å, I = 27.6, hkl 0 1 5
2.797 Å, I = 23.9, hkl 1 0 7
2.721 Å, I = 100.0, hkl 1 1 0
2.555 Å, I = 26.7, hkl 0 1 8
2.259 Å, I = 40.7, hkl 1 1 6
1.626 Å, I = 21.1, hkl 1 1 12
1.571 Å, I = 21.7, hkl 3 0 0